Theoretical powder diffractogram of Li3Mn5Cu2O12 for Cu Ka, from DFT lattice parameters and positions (PBE+U).
Lines closer than 0.1° are merged.

Peak list (6 most intense, 2θ = 10–90°, low angle first)
4.827 Å, 2θ 18.38, intensity 62
4.434 Å, 2θ 20.02, intensity 34
3.926 Å, 2θ 22.65, intensity 52
2.190 Å, 2θ 41.23, intensity 55
2.085 Å, 2θ 43.40, intensity 100
1.524 Å, 2θ 60.79, intensity 29

Cell and atoms:
Cell: 5.1757 5.1757 9.7542 Å, 94.22 94.22 117.91°
Fractional positions:
Li 0.0000 0.0000 0.0000
Li 0.0580 0.4050 0.2363
Li 0.5950 0.9420 0.7637
Mn 0.3360 0.6640 0.0000
Mn 0.4148 0.0794 0.2429
Mn 0.5080 0.4920 0.5000
Mn 0.8432 0.1568 0.5000
Mn 0.9206 0.5852 0.7571
Cu 0.1693 0.8307 0.5000
Cu 0.6544 0.3456 0.0000
O 0.1090 0.7383 0.1322
O 0.1753 0.1504 0.3886
O 0.1811 0.5135 0.5997
O 0.2617 0.8910 0.8678
O 0.3650 0.3688 0.1070
O 0.4865 0.8189 0.4003
O 0.6045 0.2493 0.6325
O 0.6312 0.6350 0.8930
O 0.6628 0.0444 0.1053
O 0.7507 0.3955 0.3675
O 0.8496 0.8247 0.6114
O 0.9556 0.3372 0.8947